Ni8As2H: simulated powder X-ray diffraction pattern (CuKα), based on DFT lattice parameters and positions (PBE).

Atomic structure:
Cell lengths 4.284, 4.846, 6.825 Å; angles 94.03, 108.07, 115.61 degrees
Space group P-1 (No. 2)
Inequivalent atoms, fractional coordinates:
Ni1 0.021 0.251 0.441 (multiplicity 2)
Ni2 0.177 0.761 0.964 (multiplicity 2)
Ni3 0.376 0.764 0.351 (multiplicity 2)
Ni4 0.457 0.287 0.246 (multiplicity 2)
As1 0.183 0.204 0.822 (multiplicity 2)
H1 0.500 0.500 0.500 (multiplicity 1)

The 6 most intense peaks (2θ = 15–90°), by intensity:
| hkl | 2θ/deg | Rel. int. |
| --- | --- | --- |
| 1 -2 2 | 47.30 | 1000 |
| 0 2 0 | 42.61 | 912 |
| -1 1 3 | 45.34 | 794 |
| 1 1 -3 | 47.16 | 655 |
| 1 0 2 | 44.98 | 523 |
| -2 1 1 | 42.19 | 433 |